No. 1
For Pu3BeCu8, a crystal structure in Alexandria, relaxed with GGA-PBE gives the calculated PXRD pattern in this record (copper Kα).
No peak broadening, texture or thermal motion is included.

The 12 most intense peaks (2θ from 10° to 90°), in order of rising 2θ:
| 2θ/deg | I/Imax |
| --- | --- |
| 10.67 | 15 |
| 20.32 | 16 |
| 21.25 | 20 |
| 35.02 | 42 |
| 35.23 | 41 |
| 41.39 | 100 |
| 41.61 | 33 |
| 43.29 | 17 |
| 62.95 | 16 |
| 67.18 | 18 |
| 67.31 | 16 |
| 73.98 | 15 |

Structural model:
Lattice parameters (Å, degrees): 8.8067 8.8067 8.8067 33.83 33.83 33.83
Atoms (fractional coordinates):
Pu 0.0000 0.0000 0.0000
Pu 0.1267 0.1267 0.1267
Pu 0.5042 0.5042 0.5042
Be 0.6334 0.6334 0.6334
Cu 0.0536 0.5641 0.5641
Cu 0.0682 0.0682 0.5662
Cu 0.0682 0.5662 0.0682
Cu 0.3134 0.3134 0.3134
Cu 0.5641 0.0536 0.5641
Cu 0.5641 0.5641 0.0536
Cu 0.5662 0.0682 0.0682
Cu 0.8152 0.8152 0.8152


No. 2
For BeCuRe2, a crystal structure in Alexandria, relaxed with GGA-PBE gives the calculated PXRD pattern in this record (copper Kα).
No peak broadening, texture or thermal motion is included.

The 12 most intense peaks (2θ from 10° to 90°), in order of rising 2θ:
| 2θ/deg | I/Imax |
| --- | --- |
| 24.33 | 38 |
| 31.23 | 38 |
| 40.89 | 30 |
| 43.32 | 100 |
| 43.75 | 25 |
| 46.40 | 18 |
| 54.73 | 16 |
| 65.67 | 13 |
| 75.29 | 10 |
| 80.09 | 17 |
| 83.57 | 11 |
| 83.87 | 10 |

Structural model:
Lattice parameters (Å, degrees): 3.0772 4.1382 7.8282 90.00 90.00 90.00
Atoms (fractional coordinates):
Be 0.0000 0.0000 0.0000
Be 0.5000 0.5000 0.5000
Cu 0.0000 0.5000 0.7062
Cu 0.5000 0.0000 0.2062
Re 0.0000 0.0000 0.4798
Re 0.0000 0.5000 0.2539
Re 0.5000 0.0000 0.7539
Re 0.5000 0.5000 0.9798


No. 3
For Be4CuRe, a crystal structure in Alexandria, relaxed with GGA-PBE gives the calculated PXRD pattern in this record (copper Kα).
No peak broadening, texture or thermal motion is included.

The 10 most intense peaks (2θ from 10° to 90°), in order of rising 2θ:
| 2θ/deg | I/Imax |
| --- | --- |
| 25.18 | 100 |
| 29.15 | 19 |
| 41.70 | 75 |
| 49.33 | 62 |
| 51.68 | 6 |
| 60.44 | 10 |
| 66.52 | 20 |
| 68.49 | 8 |
| 76.11 | 25 |
| 81.66 | 19 |

Structural model:
Lattice parameters (Å, degrees): 4.3324 4.3324 4.3324 60.00 60.00 60.00
Atoms (fractional coordinates):
Be 0.1228 0.1228 0.1228
Be 0.1228 0.1228 0.6315
Be 0.1228 0.6315 0.1228
Be 0.6315 0.1228 0.1228
Cu 0.5000 0.5000 0.5000
Re 0.7500 0.7500 0.7500


No. 4
For Be3CuRh2, a crystal structure in Alexandria, relaxed with GGA-PBE gives the calculated PXRD pattern in this record (copper Kα).
No peak broadening, texture or thermal motion is included.

The 12 most intense peaks (2θ from 10° to 90°), in order of rising 2θ:
| 2θ/deg | I/Imax |
| --- | --- |
| 31.54 | 57 |
| 32.91 | 100 |
| 46.22 | 98 |
| 46.95 | 22 |
| 47.51 | 23 |
| 57.66 | 20 |
| 58.15 | 19 |
| 69.02 | 13 |
| 75.59 | 17 |
| 77.85 | 14 |
| 86.72 | 13 |
| 87.55 | 15 |

Structural model:
Lattice parameters (Å, degrees): 3.8273 11.6122 2.8370 90.00 90.00 90.00
Atoms (fractional coordinates):
Be 0.0000 0.0000 0.0000
Be 0.0000 0.3241 0.0000
Be 0.0000 0.6759 0.0000
Be 0.5000 0.1759 0.0000
Be 0.5000 0.5000 0.0000
Be 0.5000 0.8241 0.0000
Cu 0.0000 0.5000 0.5000
Cu 0.5000 0.0000 0.5000
Rh 0.0000 0.1576 0.5000
Rh 0.0000 0.8424 0.5000
Rh 0.5000 0.3424 0.5000
Rh 0.5000 0.6576 0.5000


No. 5
For BeCuRu, a crystal structure in Alexandria, relaxed with GGA-PBE gives the calculated PXRD pattern in this record (copper Kα).
No peak broadening, texture or thermal motion is included.

The 12 most intense peaks (2θ from 10° to 90°), in order of rising 2θ:
| 2θ/deg | I/Imax |
| --- | --- |
| 19.28 | 25 |
| 34.49 | 71 |
| 39.14 | 23 |
| 44.60 | 100 |
| 47.43 | 45 |
| 63.12 | 21 |
| 69.32 | 14 |
| 79.79 | 12 |
| 80.12 | 13 |
| 81.31 | 14 |
| 82.61 | 10 |
| 86.27 | 28 |

Structural model:
Lattice parameters (Å, degrees): 2.7110 2.7110 9.2060 90.00 90.00 90.00
Atoms (fractional coordinates):
Be 0.0000 0.0000 0.0000
Be 0.5000 0.5000 0.5000
Cu 0.0000 0.0000 0.6466
Cu 0.5000 0.5000 0.1466
Ru 0.0000 0.0000 0.3462
Ru 0.5000 0.5000 0.8462


No. 6
For BeZnCuTeS, a crystal structure in Alexandria, relaxed with GGA-PBE gives the calculated PXRD pattern in this record (copper Kα).
No peak broadening, texture or thermal motion is included.

The 12 most intense peaks (2θ from 10° to 90°), in order of rising 2θ:
| 2θ/deg | I/Imax |
| --- | --- |
| 10.55 | 100 |
| 27.53 | 71 |
| 29.55 | 19 |
| 34.98 | 29 |
| 35.05 | 8 |
| 42.66 | 28 |
| 42.76 | 33 |
| 48.67 | 33 |
| 49.95 | 14 |
| 51.99 | 10 |
| 56.83 | 9 |
| 66.66 | 8 |

Structural model:
Lattice parameters (Å, degrees): 6.4812 3.7415 8.3877 90.00 90.18 90.00
Atoms (fractional coordinates):
Be 0.0000 0.0000 0.0000
Be 0.5000 0.5000 0.0000
Zn 0.4987 0.5000 0.6801
Zn 0.9987 0.0000 0.6801
Cu 0.1660 0.5000 0.8182
Cu 0.6660 0.0000 0.8182
Te 0.1647 0.5000 0.4970
Te 0.6647 0.0000 0.4970
S 0.1670 0.5000 0.0792
S 0.6670 0.0000 0.0792